Calculated powder XRD pattern of Na3Sb4S8 for CuKα, from a cell relaxed with PBE.
Kinematic intensities with the Lorentz-polarization factor, no thermal factor.

The 6 most intense peaks (15° ≤ 2θ ≤ 90°), by angle:
2theta	d_spacing	I (rel.)	index
15.96	5.555	37	2 0 -1
31.54	2.837	99	0 4 0
31.90	2.805	95	0 0 2
32.23	2.777	94	4 0 -2
45.47	1.995	100	4 0 0
45.72	1.985	67	4 4 -2

Crystal structure
a b c (Å): 11.1116 11.3473 7.8130
angles (deg): 90.00 134.10 90.00
Space group C2/m (No. 12)
Symmetry-distinct sites (fractional):
Na (0.0000, 0.0000, 0.0000) [2 per cell]
Na (0.2500, 0.2500, 0.0000) [4 per cell]
Sb (0.0000, 0.5000, 0.0000) [2 per cell]
Sb (0.0000, 0.5000, 0.5000) [2 per cell]
Sb (0.2500, 0.2500, 0.5000) [4 per cell]
S (0.0000, 0.2567, 0.0000) [4 per cell]
S (0.0000, 0.2648, 0.5000) [4 per cell]
S (0.2249, 0.5000, 0.9589) [4 per cell]
S (0.2433, 0.5000, 0.4947) [4 per cell]